[1]
# ErCrP2Rh5
Simulated X-ray powder pattern, CuKα. Input: the GGA-PBE geometry in Alexandria.
Neutral-atom scattering factors, no anomalous dispersion.

Peak list (6 most intense, 5° ≤ 2θ ≤ 70°, in order of rising 2θ)
index	Position (°2θ)	I_rel
0 0 1	9.13	100
1 1 2	34.75	61
1 1 3	40.69	31
2 0 0	41.87	30
2 0 1	42.95	10
2 0 4	57.19	11

Structure:
Cell lengths 4.3148, 4.3148, 9.6842 Å; angles 90.00, 90.00, 90.00 degrees
Positions (direct):
Er: 0.0000 0.0000 0.0000
Cr: 0.5000 0.5000 0.5000
P: 0.5000 0.5000 0.2589
P: 0.5000 0.5000 0.7411
Rh: 0.0000 0.5000 0.2031
Rh: 0.0000 0.5000 0.7969
Rh: 0.5000 0.0000 0.2031
Rh: 0.5000 0.0000 0.7969
Rh: 0.5000 0.5000 0.0000

---

[2]
# ErPaCrS6
Simulated X-ray powder pattern, CuKα. Input: the GGA-PBE geometry in Alexandria.
Neutral-atom scattering factors, no anomalous dispersion.

Peak list (6 most intense, 5° ≤ 2θ ≤ 70°, in order of rising 2θ)
index	Position (°2θ)	I_rel
1 0 1	22.18	100
1 1 0	27.89	28
2 0 1	35.92	30
2 -1 2	42.05	45
2 1 1	46.08	30
3 0 0	49.35	18

Structure:
Cell lengths 6.3974, 6.3974, 5.8026 Å; angles 90.00, 90.00, 120.00 degrees
Positions (direct):
Er: 0.0000 0.0000 0.0000
Pa: 0.6667 0.3333 0.5000
Cr: 0.3333 0.6667 0.0000
S: 0.0259 0.3696 0.2424
S: 0.0259 0.6564 0.7576
S: 0.3436 0.3696 0.7576
S: 0.3436 0.9741 0.2424
S: 0.6304 0.6564 0.2424
S: 0.6304 0.9741 0.7576

---

[3]
# ErCrPt6
Simulated X-ray powder pattern, CuKα. Input: the GGA-PBE geometry in Alexandria.
Neutral-atom scattering factors, no anomalous dispersion.

Peak list (6 most intense, 5° ≤ 2θ ≤ 70°, in order of rising 2θ)
index	Position (°2θ)	I_rel
1 0 0	22.20	3
1 1 2	38.86	100
0 0 4	44.98	16
2 0 0	45.28	33
2 0 4	65.74	21
2 2 0	65.97	11

Structure:
Cell lengths 4.0051, 4.0051, 8.0609 Å; angles 90.00, 90.00, 90.00 degrees
Positions (direct):
Er: 0.0000 0.0000 0.0000
Cr: 0.0000 0.0000 0.5000
Pt: 0.0000 0.5000 0.2636
Pt: 0.0000 0.5000 0.7364
Pt: 0.5000 0.0000 0.2636
Pt: 0.5000 0.0000 0.7364
Pt: 0.5000 0.5000 0.0000
Pt: 0.5000 0.5000 0.5000

---

[4]
# ErCrRu
Simulated X-ray powder pattern, CuKα. Input: the GGA-PBE geometry in Alexandria.
Neutral-atom scattering factors, no anomalous dispersion.

Peak list (6 most intense, 5° ≤ 2θ ≤ 70°, in order of rising 2θ)
index	Position (°2θ)	I_rel
1 1 0	18.78	49
2 0 0	26.69	36
2 1 1	33.66	65
1 1 2	36.04	100
2 2 0	38.10	53
3 1 2	53.44	30

Structure:
Cell lengths 6.6811, 6.6811, 5.8677 Å; angles 90.00, 90.00, 90.00 degrees
Positions (direct):
Er: 0.2365 0.2365 0.0000
Er: 0.2635 0.7365 0.2500
Er: 0.7365 0.2635 0.7500
Er: 0.7635 0.7635 0.5000
Cr: 0.1973 0.8027 0.7500
Cr: 0.3027 0.3027 0.5000
Cr: 0.6973 0.6973 0.0000
Cr: 0.8027 0.1973 0.2500
Ru: 0.0582 0.0582 0.5000
Ru: 0.4418 0.5582 0.7500
Ru: 0.5582 0.4418 0.2500
Ru: 0.9418 0.9418 0.0000